Record 1
Diffraction record for HoBrF. The PXRD pattern is computed, not measured: it uses a crystal structure in Alexandria, relaxed with GGA-PBE and copper Kα.
Peak positions follow from Bragg's law for the DFT cell and can differ from measured ones.

Peak list (10 most intense, 10 to 80 degrees two-theta, low angle first)
2θ 13.68, rel. 100
2θ 24.74, rel. 57
2θ 27.05, rel. 19
2θ 27.70, rel. 16
2θ 31.49, rel. 25
2θ 32.24, rel. 15
2θ 32.50, rel. 34
2θ 32.72, rel. 18
2θ 34.58, rel. 18
2θ 40.39, rel. 30

Crystal structure
Cell: 3.608 6.939 7.464 Å, 104.85 90.01 104.70°
Element x y z (fractional)
1 Ho 0.212 0.421 0.262
2 Ho 0.788 0.579 0.738
3 Br 0.141 0.278 0.818
4 Br 0.859 0.722 0.182
5 F 0.379 0.765 0.800
6 F 0.621 0.235 0.200


Record 2
Diffraction record for PmPr5Dy3. The PXRD pattern is computed, not measured: it uses a crystal structure in Alexandria, relaxed with GGA-PBE and copper Kα.
Peak positions follow from Bragg's law for the DFT cell and can differ from measured ones.

Peak list (10 most intense, 10 to 80 degrees two-theta, low angle first)
2θ 14.99, rel. 76
2θ 27.94, rel. 27
2θ 28.50, rel. 36
2θ 30.10, rel. 31
2θ 30.25, rel. 100
2θ 31.67, rel. 96
2θ 31.94, rel. 78
2θ 33.79, rel. 82
2θ 38.44, rel. 49
2θ 38.68, rel. 51

Crystal structure
Cell: 9.712 9.712 9.960 Å, 120.39 120.39 74.96°
Element x y z (fractional)
1 Pm 0.250 0.250 0.087
2 Pm 0.750 0.750 0.913
3 Pr 0.106 0.610 0.763
4 Pr 0.230 0.230 0.735
5 Pr 0.246 0.754 0.500
6 Pr 0.272 0.272 0.446
7 Pr 0.390 0.894 0.237
8 Pr 0.610 0.106 0.763
9 Pr 0.728 0.728 0.554
10 Pr 0.754 0.246 0.500
11 Pr 0.770 0.770 0.265
12 Pr 0.894 0.390 0.237
13 Dy 0.000 0.000 0.000
14 Dy 0.006 0.006 0.324
15 Dy 0.487 0.487 0.149
16 Dy 0.500 0.500 0.500
17 Dy 0.513 0.513 0.851
18 Dy 0.994 0.994 0.676